Structure and simulated X-ray diffraction stick pattern of Na3ScI6 (a crystal structure in the Materials Project, relaxed with PBE; a wavelength of 1.5418 Å).

Main lines, by angle (2θ from 10° to 80°):
two_theta	d [Å]	I/Imax
14.84	5.971	40
25.84	3.448	100
29.93	2.986	73
33.56	2.671	20
42.83	2.111	53
50.70	1.800	45
53.13	1.724	18
68.49	1.370	17
70.53	1.335	22
78.46	1.219	16

Structure:
```
Na3ScI6
1.0
0.0000 5.9715 5.9715
5.9715 0.0000 5.9715
5.9715 5.9715 0.0000
Na Sc I
3 1 6
Cartesian
0.0000 0.0000 0.0000
2.9857 2.9857 2.9857
8.9572 8.9572 8.9572
5.9715 5.9715 5.9715
5.9715 5.9715 3.0950
5.9715 3.0950 5.9715
8.8480 5.9715 5.9715
3.0950 5.9715 5.9715
5.9715 8.8480 5.9715
5.9715 5.9715 8.8480
```